This entry pairs a crystal structure of CaMnTcO6 with its simulated XRD peak list. Radiation: Cu Kα. Structure: a cell relaxed with PBE+U.
Intensities are scaled so that the largest is 100.

The 10 most intense peaks (15 to 90 degrees two-theta), in order of rising 2θ:
2θ = 18.98°, d = 4.675 Å, I = 11, (0 0 2); 2θ = 20.42°, d = 4.348 Å, I = 32, (1 0 1); 2θ = 25.65°, d = 3.473 Å, I = 100, (1 1 0); 2θ = 34.07°, d = 2.632 Å, I = 60, (1 0 3); 2θ = 36.59°, d = 2.456 Å, I = 13, (2 0 0); 2θ = 50.85°, d = 1.796 Å, I = 59, (2 1 3); 2θ = 52.71°, d = 1.737 Å, I = 18, (2 2 0); 2θ = 59.52°, d = 1.553 Å, I = 12, (3 1 0); 2θ = 64.26°, d = 1.449 Å, I = 19, (3 0 3); 2θ = 65.67°, d = 1.422 Å, I = 12, (1 1 6)

Cell and atoms:
```
data_CaMnTcO6
_space_group_name_H-M_alt 'P 42 n m'
_space_group_IT_number 102
_space_group_name_Hall 'P 4n -2n'
_cell_length_a 4.912
_cell_length_b 4.912
_cell_length_c 9.351
_cell_angle_alpha 90.00
_cell_angle_beta 90.00
_cell_angle_gamma 90.00
loop_
_atom_site_label
_atom_site_fract_x
_atom_site_fract_y
_atom_site_fract_z
Ca1 0.000 0.000 0.000
Mn1 0.000 0.000 0.334
Tc1 0.000 0.000 0.667
O1 0.171 0.171 0.497
O2 0.199 0.199 0.794
O3 0.222 0.222 0.180
```